Starting from a structure optimized by DFT (PBE), the PXRD pattern of In2GaBiI6 was computed for Cu Kα.

Largest 6 diffraction maxima, by angle, 2θ = 10–90°:
- 14.52°, I = 49, hkl 0 1 2
- 24.29°, I = 100, hkl 1 1 3
- 29.28°, I = 57, hkl 0 2 4
- 32.26°, I = 89, hkl 1 1 6
- 36.84°, I = 47, hkl 3 0 0
- 42.78°, I = 23, hkl 1 0 10

Structural model:
```
data_In2GaBiI6
_chemical_formula_sum 'In6 Ga3 Bi3 I18'
_cell_length_a 8.4523
_cell_length_b 8.4523
_cell_length_c 22.0799
_cell_angle_alpha 90.00
_cell_angle_beta 90.00
_cell_angle_gamma 120.00
_symmetry_space_group_name_H-M 'R 3'
_symmetry_Int_Tables_number 146
_symmetry_space_group_name_Hall 'R 3'
loop_
_atom_site_label
_atom_site_type_symbol
_atom_site_fract_x
_atom_site_fract_y
_atom_site_fract_z
_atom_site_occupancy
In1 In 0.0000 0.0000 0.0000 1
In2 In 0.0000 0.0000 0.4971 1
Ga1 Ga 0.0000 0.0000 0.2999 1
Bi1 Bi 0.0000 0.0000 0.8029 1
I1 I 0.9996 0.4001 0.0573 1
I2 I 0.0168 0.6117 0.5559 1
```

---

Starting from a structure optimized by DFT (PBE), the PXRD pattern of Tb2Y6Er3 was computed for Cu Kα.

Largest 6 diffraction maxima, by angle, 2θ = 10–90°:
- 31.53°, I = 82, hkl 0 1 11
- 31.74°, I = 100, hkl 1 1 0
- 45.35°, I = 30, hkl 2 0 11
- 56.41°, I = 31, hkl 1 2 11
- 56.54°, I = 19, hkl 3 0 0
- 75.28°, I = 13, hkl 3 1 11

Structural model:
```
data_Tb2Y6Er3
_chemical_formula_sum 'Tb6 Y18 Er9'
_cell_length_a 5.6383
_cell_length_b 5.6383
_cell_length_c 38.3567
_cell_angle_alpha 90.00
_cell_angle_beta 90.00
_cell_angle_gamma 120.00
_symmetry_space_group_name_H-M 'R -3 m'
_symmetry_Int_Tables_number 166
_symmetry_space_group_name_Hall '-R 3 2"'
loop_
_atom_site_label
_atom_site_type_symbol
_atom_site_fract_x
_atom_site_fract_y
_atom_site_fract_z
_atom_site_occupancy
Tb1 Tb 0.0000 0.0000 0.0448 1
Y1 Y 0.0000 0.0000 0.1387 1
Y2 Y 0.0000 0.0000 0.2350 1
Y3 Y 0.0000 0.0000 0.4170 1
Er1 Er 0.0000 0.0000 0.3286 1
Er2 Er 0.0000 0.0000 0.5000 1
```